This entry pairs a crystal structure of SmAlZnAu6 with its calculated powder diffraction line list. Radiation: Cu Kα (weighted mean of Kα1 and Kα2). Structure: a cell relaxed with GGA-PBE.
No peak broadening, texture or thermal motion is included.

Main lines, low angle first (2θ = 5–70°):
(hkl), 2θ/deg, d [Å], intensity
2 2 0, 31.04, 2.881, 1000
1 2 3, 33.95, 2.641, 344
2 1 3, 36.08, 2.490, 291
0 2 4, 38.77, 2.323, 566
0 4 0, 39.60, 2.276, 434
2 0 4, 41.30, 2.186, 227
3 2 1, 42.33, 2.135, 176
3 0 3, 44.34, 2.043, 184
2 2 4, 46.07, 1.970, 258
2 4 4, 58.54, 1.577, 145

Structure:
Cell: 7.442 9.103 10.807 Å, 90.00 90.00 90.00°
Space group Imma (No. 74)
Inequivalent atoms, fractional coordinates:
Sm: 0.000 0.250 0.215 [4 per cell]
Al: 0.000 0.000 0.000 [4 per cell]
Zn: 0.250 0.250 0.750 [4 per cell]
Au: 0.000 0.250 0.519 [4 per cell]
Au: 0.000 0.250 0.913 [4 per cell]
Au: 0.199 0.015 0.373 [16 per cell]

This entry pairs a crystal structure of SmAlZn3Au with its calculated powder diffraction line list. Radiation: Cu Kα (weighted mean of Kα1 and Kα2). Structure: a cell relaxed with GGA-PBE.
No peak broadening, texture or thermal motion is included.

Main lines, low angle first (2θ = 5–70°):
(hkl), 2θ/deg, d [Å], intensity
1 1 0, 15.86, 5.586, 507
1 3 0, 25.13, 3.543, 603
2 0 0, 28.84, 3.095, 501
0 0 2, 30.45, 2.935, 361
2 2 0, 32.04, 2.793, 689
0 2 2, 33.52, 2.674, 734
1 5 0, 37.62, 2.391, 511
1 3 2, 39.88, 2.260, 744
1 5 1, 40.74, 2.215, 515
2 0 2, 42.44, 2.130, 1000

Structure:
Cell: 6.191 12.962 5.870 Å, 90.00 90.00 90.00°
Space group Cmcm (No. 63)
Inequivalent atoms, fractional coordinates:
Sm: 0.000 0.202 0.250 [4 per cell]
Al: 0.000 0.426 0.250 [4 per cell]
Zn: 0.000 0.371 0.750 [4 per cell]
Zn: 0.198 0.000 0.000 [8 per cell]
Au: 0.000 0.163 0.750 [4 per cell]

This entry pairs a crystal structure of Al2Sn2Au7 with its calculated powder diffraction line list. Radiation: Cu Kα (weighted mean of Kα1 and Kα2). Structure: a cell relaxed with GGA-PBE.
No peak broadening, texture or thermal motion is included.

Main lines, low angle first (2θ = 5–70°):
(hkl), 2θ/deg, d [Å], intensity
1 -1 1, 21.34, 4.164, 313
1 0 -2, 31.03, 2.882, 528
2 -1 0, 32.95, 2.718, 324
0 2 -2, 33.13, 2.704, 359
1 1 1, 33.27, 2.693, 316
1 -2 2, 34.51, 2.599, 491
1 2 -1, 37.28, 2.412, 312
2 0 1, 38.21, 2.355, 345
0 2 1, 39.34, 2.290, 1000
1 -1 3, 42.94, 2.106, 285

Structure:
Cell: 5.534 6.391 6.912 Å, 111.80 90.33 105.16°
Space group P-1 (No. 2)
Inequivalent atoms, fractional coordinates:
Al: 0.118 0.343 0.294 [2 per cell]
Sn: 0.407 0.203 0.764 [2 per cell]
Au: 0.000 0.500 0.000 [1 per cell]
Au: 0.111 0.804 0.429 [2 per cell]
Au: 0.238 0.973 0.056 [2 per cell]
Au: 0.376 0.611 0.677 [2 per cell]

This entry pairs a crystal structure of AlSn2Au2 with its calculated powder diffraction line list. Radiation: Cu Kα (weighted mean of Kα1 and Kα2). Structure: a cell relaxed with GGA-PBE.
No peak broadening, texture or thermal motion is included.

Main lines, low angle first (2θ = 5–70°):
(hkl), 2θ/deg, d [Å], intensity
0 0 2, 20.85, 4.259, 486
1 1 1, 23.97, 3.712, 719
0 2 2, 24.82, 3.588, 513
1 1 2, 30.16, 2.963, 205
1 3 1, 30.68, 2.915, 520
0 2 3, 34.33, 2.612, 236
1 5 1, 41.17, 2.193, 1000
2 0 0, 41.64, 2.169, 388
1 3 3, 43.19, 2.094, 445
2 2 3, 55.00, 1.670, 214

Structure:
Cell: 4.338 13.311 8.519 Å, 90.00 90.00 90.00°
Space group Cmc2_1 (No. 36)
Inequivalent atoms, fractional coordinates:
Al: 0.000 0.142 0.000 [4 per cell]
Sn: 0.000 0.069 0.308 [4 per cell]
Sn: 0.000 0.373 0.089 [4 per cell]
Au: 0.000 0.246 0.488 [4 per cell]
Au: 0.000 0.450 0.400 [4 per cell]

This entry pairs a crystal structure of AlSn2Au3 with its calculated powder diffraction line list. Radiation: Cu Kα (weighted mean of Kα1 and Kα2). Structure: a cell relaxed with GGA-PBE.
No peak broadening, texture or thermal motion is included.

Main lines, low angle first (2θ = 5–70°):
(hkl), 2θ/deg, d [Å], intensity
0 1 1, 27.71, 3.219, 259
1 0 2, 32.08, 2.790, 260
1 1 0, 32.55, 2.750, 457
1 1 -1, 33.64, 2.664, 1000
1 0 -3, 37.19, 2.417, 292
1 1 -2, 38.25, 2.353, 353
1 1 2, 41.30, 2.186, 532
0 1 3, 42.60, 2.122, 314
0 2 0, 51.99, 1.759, 230
1 0 5, 64.55, 1.444, 209

Structure:
Cell: 4.447 3.518 8.047 Å, 90.00 97.24 90.00°
Space group Pm (No. 6)
Inequivalent atoms, fractional coordinates:
Al: 0.000 0.000 0.000 [1 per cell]
Sn: 0.470 0.000 0.643 [1 per cell]
Sn: 0.888 0.500 0.366 [1 per cell]
Au: 0.360 0.000 0.277 [1 per cell]
Au: 0.550 0.500 0.011 [1 per cell]
Au: 0.999 0.500 0.750 [1 per cell]

This entry pairs a crystal structure of SrAl12Au4 with its calculated powder diffraction line list. Radiation: Cu Kα (weighted mean of Kα1 and Kα2). Structure: a cell relaxed with GGA-PBE.
No peak broadening, texture or thermal motion is included.

Main lines, low angle first (2θ = 5–70°):
(hkl), 2θ/deg, d [Å], intensity
2 0 0, 19.75, 4.496, 744
2 2 0, 28.07, 3.179, 1000
2 2 2, 34.55, 2.596, 262
4 0 0, 40.11, 2.248, 195
4 0 2, 45.09, 2.011, 532
4 2 2, 49.67, 1.836, 566
4 4 0, 58.02, 1.590, 121
4 4 2, 61.91, 1.499, 129
6 2 0, 65.67, 1.422, 227
6 2 2, 69.31, 1.356, 134

Structure:
Cell: 8.992 8.992 8.992 Å, 90.00 90.00 90.00°
Space group Im-3 (No. 204)
Inequivalent atoms, fractional coordinates:
Sr: 0.000 0.000 0.000 [2 per cell]
Al: 0.000 0.352 0.154 [24 per cell]
Au: 0.250 0.250 0.250 [8 per cell]

This entry pairs a crystal structure of Sr3Al2Au7 with its calculated powder diffraction line list. Radiation: Cu Kα (weighted mean of Kα1 and Kα2). Structure: a cell relaxed with GGA-PBE.
No peak broadening, texture or thermal motion is included.

Main lines, low angle first (2θ = 5–70°):
(hkl), 2θ/deg, d [Å], intensity
0 0 2, 6.70, 13.189, 497
1 0 5, 25.21, 3.533, 149
1 1 2, 27.36, 3.260, 360
1 1 4, 29.81, 2.997, 409
1 1 6, 33.54, 2.672, 1000
1 0 9, 35.99, 2.495, 197
2 0 0, 37.82, 2.379, 695
2 0 10, 51.75, 1.767, 141
2 2 0, 54.56, 1.682, 243
3 1 6, 65.58, 1.423, 293

Structure:
Cell: 4.758 4.758 26.379 Å, 90.00 90.00 90.00°
Space group I4/mmm (No. 139)
Inequivalent atoms, fractional coordinates:
Sr: 0.000 0.000 0.000 [2 per cell]
Sr: 0.000 0.000 0.171 [4 per cell]
Al: 0.000 0.000 0.388 [4 per cell]
Au: 0.000 0.000 0.293 [4 per cell]
Au: 0.000 0.000 0.500 [2 per cell]
Au: 0.000 0.500 0.079 [8 per cell]

This entry pairs a crystal structure of Sr3Al4Au4 with its calculated powder diffraction line list. Radiation: Cu Kα (weighted mean of Kα1 and Kα2). Structure: a cell relaxed with GGA-PBE.
No peak broadening, texture or thermal motion is included.

Main lines, low angle first (2θ = 5–70°):
(hkl), 2θ/deg, d [Å], intensity
2 0 0, 22.00, 4.040, 202
2 1 1, 27.03, 3.298, 1000
2 2 0, 31.32, 2.856, 821
3 1 0, 35.13, 2.555, 437
3 2 1, 41.84, 2.159, 261
4 1 1, 47.76, 1.904, 742
3 3 2, 53.18, 1.722, 259
4 2 2, 55.74, 1.649, 147
5 3 0, 67.61, 1.386, 218
6 0 0, 69.85, 1.347, 184

Structure:
Cell: 8.079 8.079 8.079 Å, 90.00 90.00 90.00°
Space group I-43m (No. 217)
Inequivalent atoms, fractional coordinates:
Sr: 0.000 0.000 0.500 [6 per cell]
Al: 0.130 0.130 0.870 [8 per cell]
Au: 0.190 0.190 0.190 [8 per cell]

This entry pairs a crystal structure of Sr4AlAu with its calculated powder diffraction line list. Radiation: Cu Kα (weighted mean of Kα1 and Kα2). Structure: a cell relaxed with GGA-PBE.
No peak broadening, texture or thermal motion is included.

Main lines, low angle first (2θ = 5–70°):
(hkl), 2θ/deg, d [Å], intensity
1 1 1, 15.72, 5.638, 174
2 0 0, 18.17, 4.883, 190
2 2 0, 25.80, 3.453, 298
3 1 1, 30.36, 2.944, 1000
2 2 2, 31.74, 2.819, 360
4 2 2, 45.50, 1.993, 132
5 1 1, 48.43, 1.879, 366
4 4 0, 53.05, 1.726, 272
5 3 3, 62.35, 1.489, 129
6 2 2, 63.15, 1.472, 148

Structure:
Cell: 9.766 9.766 9.766 Å, 90.00 90.00 90.00°
Space group F-43m (No. 216)
Inequivalent atoms, fractional coordinates:
Sr: 0.125 0.125 0.125 [16 per cell]
Al: 0.250 0.250 0.750 [4 per cell]
Au: 0.000 0.000 0.500 [4 per cell]

This entry pairs a crystal structure of SrAl3Au5 with its calculated powder diffraction line list. Radiation: Cu Kα (weighted mean of Kα1 and Kα2). Structure: a cell relaxed with GGA-PBE.
No peak broadening, texture or thermal motion is included.

Main lines, low angle first (2θ = 5–70°):
(hkl), 2θ/deg, d [Å], intensity
0 2 3, 23.65, 3.763, 496
1 1 2, 26.21, 3.401, 619
0 4 0, 26.64, 3.346, 510
1 3 0, 29.59, 3.019, 821
1 1 3, 30.10, 2.969, 992
1 1 4, 34.87, 2.573, 786
1 3 4, 39.88, 2.261, 1000
0 2 6, 41.96, 2.153, 786
2 0 0, 44.18, 2.050, 623
2 2 6, 62.56, 1.485, 494

Structure:
Cell: 4.100 13.384 13.643 Å, 90.00 90.00 90.00°
Space group Cmcm (No. 63)
Inequivalent atoms, fractional coordinates:
Sr: 0.000 0.173 0.250 [4 per cell]
Al: 0.000 0.099 0.750 [4 per cell]
Al: 0.000 0.372 0.523 [8 per cell]
Au: 0.000 0.000 0.000 [4 per cell]
Au: 0.000 0.199 0.589 [8 per cell]
Au: 0.000 0.479 0.150 [8 per cell]

This entry pairs a crystal structure of Sr2AlZn3Au4 with its calculated powder diffraction line list. Radiation: Cu Kα (weighted mean of Kα1 and Kα2). Structure: a cell relaxed with GGA-PBE.
No peak broadening, texture or thermal motion is included.

Main lines, low angle first (2θ = 5–70°):
(hkl), 2θ/deg, d [Å], intensity
0 0 2, 17.32, 5.119, 276
1 0 2, 25.92, 3.437, 282
1 1 1, 28.58, 3.123, 679
1 1 2, 32.42, 2.761, 951
1 0 3, 32.57, 2.749, 725
2 0 0, 38.84, 2.319, 1000
1 1 4, 44.92, 2.018, 671
2 1 3, 51.56, 1.772, 395
2 2 0, 56.09, 1.640, 342
3 1 2, 66.32, 1.409, 334

Structure:
Cell: 4.638 4.638 10.239 Å, 90.00 90.00 90.00°
Space group P-4m2 (No. 115)
Inequivalent atoms, fractional coordinates:
Sr: 0.000 0.500 0.243 [2 per cell]
Al: 0.000 0.000 0.500 [1 per cell]
Zn: 0.000 0.500 0.875 [2 per cell]
Zn: 0.500 0.500 0.500 [1 per cell]
Au: 0.000 0.000 0.000 [1 per cell]
Au: 0.000 0.500 0.622 [2 per cell]
Au: 0.500 0.500 0.000 [1 per cell]

This entry pairs a crystal structure of TaAlAu2 with its calculated powder diffraction line list. Radiation: Cu Kα (weighted mean of Kα1 and Kα2). Structure: a cell relaxed with GGA-PBE.
No peak broadening, texture or thermal motion is included.

Main lines, low angle first (2θ = 5–70°):
(hkl), 2θ/deg, d [Å], intensity
0 0 1, 15.87, 5.585, 159
0 1 0, 21.26, 4.179, 87
0 1 1, 26.64, 3.346, 168
1 1 -1, 38.07, 2.364, 749
0 1 2, 38.80, 2.321, 1000
0 2 0, 43.31, 2.089, 226
1 0 -3, 51.20, 1.784, 143
1 2 1, 59.55, 1.552, 229
2 0 -1, 62.66, 1.483, 76
1 2 -3, 69.25, 1.357, 129

Structure:
Cell: 2.965 4.179 5.776 Å, 90.00 104.80 90.00°
Space group Pm (No. 6)
Inequivalent atoms, fractional coordinates:
Ta: 0.000 0.000 0.000 [1 per cell]
Al: 0.612 0.500 0.224 [1 per cell]
Au: 0.372 0.500 0.743 [1 per cell]
Au: 0.740 0.000 0.482 [1 per cell]

> Which formula does entry 9 have?

Sr4AlAu